This entry pairs a crystal structure of Na4TlAu with its simulated powder diffractogram. Radiation: Cu Kα. Structure: a structure optimized by DFT (GGA-PBE).

Atomic structure:
a b c (Å): 13.0140 12.2881 5.7625
angles (deg): 83.99 69.89 26.13
Atoms (fractional coordinates):
Na  0.1959  0.5265  0.4735
Na  0.2060  0.2060  0.7940
Na  0.3374  0.6626  0.3374
Na  0.4735  0.8041  0.1959
Na  0.5265  0.1959  0.8041
Na  0.6626  0.3374  0.6626
Na  0.7940  0.7940  0.2060
Na  0.8041  0.4735  0.5265
Tl  0.0676  0.0676  0.9324
Tl  0.9324  0.9324  0.0676
Au  0.2500  0.2500  0.2500
Au  0.7500  0.7500  0.7500

Most intense lines, 2θ from 5° to 70°, in order of falling intensity:
2θ/deg	intensity
18.98	100
18.85	57
34.77	48
32.11	41
31.33	40
44.01	39
37.48	39
22.26	37
33.75	29
22.96	29